[1]
This entry pairs a crystal structure of Ba7Al10 with its theoretical PXRD pattern. Radiation: Cu Kα (weighted mean of Kα1 and Kα2). Structure: a DFT-relaxed cell (PBE, Alexandria).
Kinematic intensities with the Lorentz-polarization factor, no thermal factor.

Peak list (12 most intense, 2θ from 10° to 80°, by angle)
d 4.837, intensity 17
d 4.218, intensity 22
d 4.006, intensity 17
d 3.604, intensity 23
d 3.418, intensity 17
d 3.084, intensity 34
d 3.034, intensity 100
d 2.934, intensity 31
d 2.666, intensity 21
d 2.444, intensity 32
d 1.751, intensity 20
d 1.517, intensity 18

Structural model:
```
Ba7Al10
1.0
3.0337 1.7515 16.5043
-3.0337 1.7515 16.5043
0.0000 -3.5030 16.5043
Ba Al
7 10
Cartesian
0.0000 0.0000 0.0000
0.0000 0.0000 6.9629
0.0000 0.0000 18.3547
0.0000 0.0000 22.1289
0.0000 0.0000 27.3840
0.0000 0.0000 31.1582
0.0000 0.0000 42.5499
0.0000 -1.8333 12.7713
-1.5877 0.9166 12.7713
0.0000 0.0000 10.7012
0.0000 0.0000 14.8076
-1.5877 -0.9166 36.7416
1.5877 0.9166 12.7713
0.0000 0.0000 34.7053
0.0000 0.0000 38.8117
1.5877 -0.9167 36.7416
0.0000 1.8333 36.7416
```

***

[2]
This entry pairs a crystal structure of Ba5Al with its theoretical PXRD pattern. Radiation: Cu Kα (weighted mean of Kα1 and Kα2). Structure: a DFT-relaxed cell (PBE, Alexandria).
Kinematic intensities with the Lorentz-polarization factor, no thermal factor.

Peak list (12 most intense, 2θ from 10° to 80°, by angle)
d 4.447, intensity 8
d 4.027, intensity 8
d 3.391, intensity 100
d 2.977, intensity 19
d 2.965, intensity 13
d 2.872, intensity 18
d 2.101, intensity 10
d 2.065, intensity 23
d 1.789, intensity 16
d 1.783, intensity 9
d 1.742, intensity 15
d 1.696, intensity 10

Structural model:
```
Ba5Al
1.0
2.8720 -8.8938 0.0000
2.8720 8.8938 0.0000
0.0000 0.0000 5.9548
Ba Al
5 1
Cartesian
0.0000 0.0000 0.0000
2.8720 6.3215 2.9774
2.8720 2.7559 0.0000
2.8720 -2.7559 0.0000
2.8720 -6.3215 2.9774
2.8720 0.0000 2.9774
```

***

[3]
This entry pairs a crystal structure of Ba4Al with its theoretical PXRD pattern. Radiation: Cu Kα (weighted mean of Kα1 and Kα2). Structure: a DFT-relaxed cell (PBE, Alexandria).
Kinematic intensities with the Lorentz-polarization factor, no thermal factor.

Peak list (12 most intense, 2θ from 10° to 80°, by angle)
d 5.783, intensity 2
d 4.089, intensity 98
d 3.339, intensity 1
d 2.892, intensity 100
d 2.361, intensity 31
d 2.045, intensity 18
d 1.829, intensity 42
d 1.669, intensity 38
d 1.446, intensity 12
d 1.363, intensity 20
d 1.293, intensity 17
d 1.233, intensity 12

Structural model:
```
Ba4Al
1.0
-4.0893 4.0893 4.0893
4.0893 -4.0893 4.0893
4.0893 4.0893 -4.0893
Ba Al
4 1
Cartesian
2.0446 2.0446 -2.0446
2.0446 -2.0446 2.0446
-2.0446 2.0446 2.0446
2.0446 2.0446 2.0446
0.0000 0.0000 0.0000
```

***

[4]
This entry pairs a crystal structure of BaAl8 with its theoretical PXRD pattern. Radiation: Cu Kα (weighted mean of Kα1 and Kα2). Structure: a DFT-relaxed cell (PBE, Alexandria).
Kinematic intensities with the Lorentz-polarization factor, no thermal factor.

Peak list (12 most intense, 2θ from 10° to 80°, by angle)
d 6.562, intensity 27
d 4.640, intensity 17
d 3.928, intensity 38
d 3.281, intensity 25
d 2.998, intensity 37
d 2.934, intensity 18
d 2.518, intensity 100
d 2.187, intensity 30
d 2.168, intensity 17
d 1.601, intensity 18
d 1.540, intensity 20
d 1.318, intensity 18

Structural model:
```
BaAl8
1.0
-4.6397 4.6397 2.1678
4.6397 -4.6397 2.1678
4.6397 4.6397 -2.1678
Ba Al
1 8
Cartesian
0.0000 0.0000 0.0000
3.2762 0.0000 0.0000
6.0033 0.0000 0.0000
2.8603 2.8603 0.0000
1.7794 -1.7794 2.1678
0.0000 3.2762 0.0000
0.0000 6.0033 0.0000
-1.7794 1.7794 2.1678
1.7794 1.7794 2.1678
```

***

[5]
This entry pairs a crystal structure of Ba2BeAl with its theoretical PXRD pattern. Radiation: Cu Kα (weighted mean of Kα1 and Kα2). Structure: a DFT-relaxed cell (PBE, Alexandria).
Kinematic intensities with the Lorentz-polarization factor, no thermal factor.

Peak list (12 most intense, 2θ from 10° to 80°, by angle)
d 5.072, intensity 36
d 3.845, intensity 73
d 2.986, intensity 67
d 2.901, intensity 35
d 2.830, intensity 100
d 2.316, intensity 38
d 2.066, intensity 22
d 1.865, intensity 17
d 1.700, intensity 25
d 1.684, intensity 14
d 1.661, intensity 20
d 1.569, intensity 20

Structural model:
```
Ba2BeAl
1.0
5.9713 -2.0677 0.0000
5.9713 2.0677 0.0000
-2.8113 0.0000 5.0744
Ba Be Al
2 1 1
Cartesian
0.0000 0.0000 0.0000
0.2504 0.0000 3.4546
3.6921 0.0000 2.0426
8.6416 0.0000 1.4849
```

***

[6]
This entry pairs a crystal structure of Ba2SrBeAl with its theoretical PXRD pattern. Radiation: Cu Kα (weighted mean of Kα1 and Kα2). Structure: a DFT-relaxed cell (PBE, Alexandria).
Kinematic intensities with the Lorentz-polarization factor, no thermal factor.

Peak list (12 most intense, 2θ from 10° to 80°, by angle)
d 4.757, intensity 21
d 4.585, intensity 20
d 3.789, intensity 15
d 3.364, intensity 72
d 3.301, intensity 100
d 2.712, intensity 21
d 2.379, intensity 27
d 1.930, intensity 43
d 1.894, intensity 27
d 1.651, intensity 18
d 1.504, intensity 13
d 1.258, intensity 15

Structural model:
```
Ba2SrBeAl
1.0
6.7279 0.0000 0.0000
0.0000 6.7279 0.0000
0.0000 0.0000 4.5849
Ba Sr Be Al
2 1 1 1
Cartesian
0.0000 3.3639 0.0000
3.3639 0.0000 0.0000
0.0000 0.0000 2.2925
3.3639 3.3639 2.2925
3.3639 3.3639 0.0000
```